Calculated powder diffractogram of CoBP2HPbO9 for Cu Ka, from a structure optimized by DFT (PBE+U).
Lines closer than 0.1° are merged.

Most intense lines, 2θ = 10–80°, sorted by position:
(0 0 1), 2θ 10.6, I = 100
(0 2 0), 2θ 22.2, I = 20
(1 0 2), 2θ 24.8, I = 25
(1 -1 2), 2θ 27.5, I = 20
(1 2 1), 2θ 28.5, I = 23
(1 -2 0), 2θ 28.7, I = 18
(-1 2 1), 2θ 31.8, I = 18
(0 1 3), 2θ 34.2, I = 19

Cell: 5.278 8.002 8.487 Å, 89.85 79.52 87.72°
Atoms (fractional coordinates):
Co 0.231 0.302 0.199
Co 0.769 0.698 0.801
B 0.372 0.243 0.546
B 0.628 0.757 0.454
P 0.272 0.434 0.818
P 0.307 0.929 0.704
P 0.693 0.071 0.296
P 0.728 0.566 0.182
H 0.019 0.326 0.499
H 0.981 0.674 0.501
Pb 0.235 0.802 0.076
Pb 0.765 0.198 0.924
O 0.012 0.531 0.198
O 0.060 0.870 0.811
O 0.197 0.311 0.443
O 0.234 0.106 0.643
O 0.280 0.291 0.943
O 0.380 0.813 0.552
O 0.403 0.591 0.862
O 0.439 0.369 0.656
O 0.473 0.069 0.199
O 0.527 0.931 0.801
O 0.561 0.631 0.344
O 0.597 0.409 0.138
O 0.620 0.187 0.448
O 0.720 0.709 0.057
O 0.766 0.894 0.357
O 0.803 0.689 0.557
O 0.940 0.130 0.189
O 0.988 0.469 0.802